Starting from a GGA+U-relaxed structure, the powder diffraction line list of TmInWO6 was simulated for Cu Kα (weighted mean of Kα1 and Kα2).

Most intense lines, 10° ≤ 2θ ≤ 80°, in order of falling intensity:
- 25.5 deg, I 100
- 33.0 deg, I 86
- 49.9 deg, I 67
- 36.4 deg, I 26
- 63.4 deg, I 19
- 59.2 deg, I 17
- 52.5 deg, I 16
- 63.0 deg, I 16
- 75.3 deg, I 15
- 69.1 deg, I 9

```
data_TmInWO6
_symmetry_space_group_name_H-M 'P 42 n m'
_symmetry_Int_Tables_number 102
_cell_length_a 4.9337
_cell_length_b 4.9337
_cell_length_c 9.7702
_cell_angle_alpha 90.00
_cell_angle_beta 90.00
_cell_angle_gamma 90.00
loop_
_symmetry_equiv_pos_as_xyz
'x,y,z'
'-y+1/2,x+1/2,z+1/2'
'-x,-y,z'
'y+1/2,-x+1/2,z+1/2'
'-x+1/2,y+1/2,z+1/2'
'y,x,z'
'x+1/2,-y+1/2,z+1/2'
'-y,-x,z'
loop_
_atom_site_label
_atom_site_fract_x
_atom_site_fract_y
_atom_site_fract_z
Tm1 0.0000 0.0000 0.0000
In1 0.0000 0.0000 0.6699
W1 0.0000 0.0000 0.3339
O1 0.1846 0.1846 0.4860
O2 0.1886 0.1886 0.1876
O3 0.2181 0.2181 0.8333
```